Starting from the GGA-PBE geometry in Alexandria, the powder diffractogram of Rb2RhO5 was calculated for a wavelength of 1.5418 Å.

The 6 most intense peaks (2θ = 5–70°), in order of falling intensity:
2θ/deg, I (rel.), (hkl)
30.0, 100, 1 1 1
13.6, 97, 1 0 0
27.5, 49, 2 0 0
50.2, 42, 3 1 1
39.2, 39, 2 2 0
26.6, 22, 1 0 1

Atomic structure:
abc: 6.4922 6.4922 3.9163
angles: 90.00 90.00 90.00
Space group P4/mmm (No. 123)
Unique sites:
1 Rb 0.0000 0.5000 0.0000
2 Rh 0.0000 0.0000 0.5000
3 O 0.0000 0.0000 0.0000
4 O 0.2075 0.2075 0.5000